# CaSnGe2O6
Simulated powder diffractogram, Cu Kα X-rays. Input: a cell relaxed with GGA-PBE.
Neutral-atom scattering factors, no anomalous dispersion.

Top 10 peaks for 2θ = 10–90°, most intense first:
- 27.3 deg, d = 3.262 Å, I 100
- 31.6 deg, d = 2.832 Å, I 93
- 26.8 deg, d = 3.327 Å, I 45
- 32.7 deg, d = 2.737 Å, I 36
- 52.6 deg, d = 1.739 Å, I 28
- 18.8 deg, d = 4.729 Å, I 17
- 50.7 deg, d = 1.800 Å, I 17
- 49.4 deg, d = 1.844 Å, I 16
- 57.1 deg, d = 1.612 Å, I 16
- 36.0 deg, d = 2.495 Å, I 13

Crystal structure
Lattice parameters (Å, degrees): 7.3730 7.3730 5.6118 99.36 99.36 85.20
Sites, in units of the cell vectors:
Ca1 0.1882 0.8118 0.7500
Ca2 0.8118 0.1882 0.2500
Sn1 0.3908 0.6092 0.2500
Sn2 0.6092 0.3908 0.7500
Ge1 0.1105 0.3058 0.7665
Ge2 0.3058 0.1105 0.2665
Ge3 0.6942 0.8895 0.7335
Ge4 0.8895 0.6942 0.2335
O1 0.1194 0.6576 0.3617
O2 0.1218 0.1805 0.0251
O3 0.1805 0.1218 0.5251
O4 0.2320 0.5031 0.8425
O5 0.3424 0.8806 0.1383
O6 0.4969 0.7680 0.6575
O7 0.5031 0.2320 0.3425
O8 0.6576 0.1194 0.8617
O9 0.7680 0.4969 0.1575
O10 0.8195 0.8782 0.4749
O11 0.8782 0.8195 0.9749
O12 0.8806 0.3424 0.6383